1.
For Pu2VN4, a DFT-relaxed cell (GGA-PBE, Alexandria) gives the computed powder diffractogram in this record (Cu Kα, 1.54184 Å).

Peak list (6 most intense, 5 to 70 degrees two-theta, by intensity)
hkl 1 1 0, 22.92°, I = 100; hkl 2 0 0, 33.12°, I = 47; hkl 0 2 0, 32.19°, I = 39; hkl 1 1 -2, 32.55°, I = 32; hkl 1 1 2, 41.34°, I = 29; hkl 2 1 -2, 39.88°, I = 24

Structure:
abc: 5.724 5.562 6.541
angles: 90.00 108.96 90.00
Space group P2_1/m (No. 11)
One atom of each set of equivalent atoms:
Pu: 0.193 0.250 0.045 (multiplicity 2)
Pu: 0.282 0.250 0.569 (multiplicity 2)
V: 0.258 0.750 0.808 (multiplicity 2)
N: 0.038 0.505 0.757 (multiplicity 4)
N: 0.461 0.750 0.085 (multiplicity 2)
N: 0.462 0.750 0.642 (multiplicity 2)


2.
For Pu2VZnN5, a DFT-relaxed cell (GGA-PBE, Alexandria) gives the computed powder diffractogram in this record (Cu Kα, 1.54184 Å).

Peak list (6 most intense, 5 to 70 degrees two-theta, by intensity)
hkl 0 4 2, 32.51°, I = 100; hkl 1 1 2, 34.34°, I = 84; hkl 1 3 0, 34.50°, I = 77; hkl 0 2 3, 30.86°, I = 69; hkl 0 0 2, 18.41°, I = 67; hkl 1 1 3, 40.38°, I = 59

Structure:
abc: 3.194 13.429 9.636
angles: 90.00 90.00 90.00
Space group Cmc2_1 (No. 36)
One atom of each set of equivalent atoms:
Pu: 0.000 0.126 0.000 (multiplicity 4)
Pu: 0.000 0.131 0.588 (multiplicity 4)
V: 0.000 0.213 0.300 (multiplicity 4)
Zn: 0.000 0.487 0.778 (multiplicity 4)
N: 0.000 0.078 0.347 (multiplicity 4)
N: 0.000 0.285 0.948 (multiplicity 4)
N: 0.000 0.296 0.660 (multiplicity 4)
N: 0.000 0.359 0.308 (multiplicity 4)
N: 0.000 0.498 0.068 (multiplicity 4)


3.
For PuWN, a DFT-relaxed cell (GGA-PBE, Alexandria) gives the computed powder diffractogram in this record (Cu Kα, 1.54184 Å).

Peak list (6 most intense, 5 to 70 degrees two-theta, by intensity)
hkl 3 1 1, 42.20°, I = 100; hkl 1 1 1, 35.68°, I = 97; hkl 4 0 0, 31.01°, I = 63; hkl 0 0 2, 34.80°, I = 47; hkl 0 2 0, 62.38°, I = 34; hkl 4 0 2, 47.29°, I = 33

Structure:
abc: 11.535 2.979 5.153
angles: 90.00 90.00 90.00
Space group Amm2 (No. 38)
One atom of each set of equivalent atoms:
Pu: 0.142 0.000 0.000 (multiplicity 4)
W: 0.381 0.000 0.337 (multiplicity 4)
N: 0.000 0.000 0.333 (multiplicity 2)
N: 0.500 0.000 0.003 (multiplicity 2)


4.
For PuWN4, a DFT-relaxed cell (GGA-PBE, Alexandria) gives the computed powder diffractogram in this record (Cu Kα, 1.54184 Å).

Peak list (6 most intense, 5 to 70 degrees two-theta, by intensity)
hkl 1 1 -1, 26.05°, I = 100; hkl 1 1 1, 33.12°, I = 48; hkl 0 0 2, 32.96°, I = 24; hkl 2 0 0, 33.60°, I = 23; hkl 0 2 2, 50.29°, I = 18; hkl 1 1 -3, 50.40°, I = 18

Structure:
abc: 5.745 4.874 5.853
angles: 90.00 111.80 90.00
Space group P2_1/c (No. 14)
One atom of each set of equivalent atoms:
Pu: 0.000 0.000 0.000 (multiplicity 2)
W: 0.500 0.000 0.500 (multiplicity 2)
N: 0.166 0.182 0.370 (multiplicity 4)
N: 0.365 0.707 0.680 (multiplicity 4)


Copy entry 3 word for word.
For PuWN, a DFT-relaxed cell (GGA-PBE, Alexandria) gives the computed powder diffractogram in this record (Cu Kα, 1.54184 Å).

Peak list (6 most intense, 5 to 70 degrees two-theta, by intensity)
hkl 3 1 1, 42.20°, I = 100; hkl 1 1 1, 35.68°, I = 97; hkl 4 0 0, 31.01°, I = 63; hkl 0 0 2, 34.80°, I = 47; hkl 0 2 0, 62.38°, I = 34; hkl 4 0 2, 47.29°, I = 33

Structure:
abc: 11.535 2.979 5.153
angles: 90.00 90.00 90.00
Space group Amm2 (No. 38)
One atom of each set of equivalent atoms:
Pu: 0.142 0.000 0.000 (multiplicity 4)
W: 0.381 0.000 0.337 (multiplicity 4)
N: 0.000 0.000 0.333 (multiplicity 2)
N: 0.500 0.000 0.003 (multiplicity 2)